Record 1
Computed powder diffraction line list of Ce2ErSe3 for λ = 1.5418 Å (Cu Kα), from a GGA-PBE-relaxed structure.

Structural model:
```
data_Ce2ErSe3
_cell_length_a 4.179
_cell_length_b 4.179
_cell_length_c 17.460
_cell_angle_alpha 90.00
_cell_angle_beta 90.00
_cell_angle_gamma 90.00
_space_group_name_H-M_alt 'I 4/m m m'
_space_group_IT_number 139
_space_group_name_Hall '-I 4 2'
loop_
_atom_site_label
_atom_site_type_symbol
_atom_site_fract_x
_atom_site_fract_y
_atom_site_fract_z
Ce1 Ce 0.000 0.000 0.168
Er1 Er 0.000 0.000 0.500
Se1 Se 0.000 0.000 0.000
Se2 Se 0.000 0.000 0.338
```

Peak list (8 most intense, 15° ≤ 2θ ≤ 90°, by angle)
index, 2θ/deg, I_rel
1 0 3, 26.25, 253
1 1 0, 30.25, 1000
0 0 6, 30.72, 476
2 0 0, 43.31, 372
1 1 6, 43.66, 722
2 0 6, 54.03, 384
3 1 0, 71.38, 168
3 1 6, 79.69, 247

=====

Record 2
Computed powder diffraction line list of BeHPd for λ = 1.5418 Å (Cu Kα), from a GGA-PBE-relaxed structure.

Structural model:
```
data_BeHPd
_cell_length_a 7.908
_cell_length_b 3.587
_cell_length_c 7.975
_cell_angle_alpha 90.00
_cell_angle_beta 106.51
_cell_angle_gamma 90.00
_space_group_name_H-M_alt 'P 1 21 1'
_space_group_IT_number 4
_space_group_name_Hall 'P 2yb'
loop_
_atom_site_label
_atom_site_type_symbol
_atom_site_fract_x
_atom_site_fract_y
_atom_site_fract_z
Be1 Be 0.048 0.000 0.414
Be2 Be 0.244 0.625 0.624
Be3 Be 0.268 0.631 0.009
Be4 Be 0.338 0.625 0.304
H1 H 0.003 0.643 0.127
H2 H 0.066 0.635 0.489
H3 H 0.181 0.308 0.365
H4 H 0.400 0.953 0.948
Pd1 Pd 0.099 0.128 0.144
Pd2 Pd 0.196 0.151 0.807
Pd3 Pd 0.367 0.119 0.514
Pd4 Pd 0.471 0.129 0.171
```

Peak list (8 most intense, 15° ≤ 2θ ≤ 90°, by angle)
index, 2θ/deg, I_rel
1 1 0, 27.51, 1000
0 0 3, 35.21, 600
3 0 -2, 36.63, 556
2 1 -2, 37.80, 729
2 1 1, 38.62, 856
3 0 1, 40.66, 354
1 1 -3, 42.36, 536
0 2 0, 50.92, 268

=====

Number 1 is which compound?
Ce2ErSe3

=====

Please write out number 1 again, unchanged.
Computed powder diffraction line list of Ce2ErSe3 for λ = 1.5418 Å (Cu Kα), from a GGA-PBE-relaxed structure.

Structural model:
```
data_Ce2ErSe3
_cell_length_a 4.179
_cell_length_b 4.179
_cell_length_c 17.460
_cell_angle_alpha 90.00
_cell_angle_beta 90.00
_cell_angle_gamma 90.00
_space_group_name_H-M_alt 'I 4/m m m'
_space_group_IT_number 139
_space_group_name_Hall '-I 4 2'
loop_
_atom_site_label
_atom_site_type_symbol
_atom_site_fract_x
_atom_site_fract_y
_atom_site_fract_z
Ce1 Ce 0.000 0.000 0.168
Er1 Er 0.000 0.000 0.500
Se1 Se 0.000 0.000 0.000
Se2 Se 0.000 0.000 0.338
```

Peak list (8 most intense, 15° ≤ 2θ ≤ 90°, by angle)
index, 2θ/deg, I_rel
1 0 3, 26.25, 253
1 1 0, 30.25, 1000
0 0 6, 30.72, 476
2 0 0, 43.31, 372
1 1 6, 43.66, 722
2 0 6, 54.03, 384
3 1 0, 71.38, 168
3 1 6, 79.69, 247